Record 1
GaSi: computed XRD peak list (Cu Ka), based on a cell relaxed with GGA-PBE.
Kinematic intensities with the Lorentz-polarization factor, no thermal factor.

The 6 most intense peaks (2θ = 10–80°), by angle:
29.6°, 3.015 Å, intensity 37
34.3°, 2.611 Å, intensity 100
49.4°, 1.846 Å, intensity 69
58.6°, 1.574 Å, intensity 16
61.5°, 1.507 Å, intensity 23
72.4°, 1.305 Å, intensity 11

Structure:
a b c (Å): 5.222 5.222 5.222
angles (deg): 90.00 90.00 90.00
Sites, in units of the cell vectors:
Ga 0.000 0.000 0.000
Ga 0.000 0.500 0.500
Ga 0.500 0.000 0.500
Ga 0.500 0.500 0.000
Si 0.000 0.000 0.500
Si 0.000 0.500 0.000
Si 0.500 0.000 0.000
Si 0.500 0.500 0.500


Record 2
Ga3Si23: computed XRD peak list (Cu Ka), based on a cell relaxed with GGA-PBE.
Kinematic intensities with the Lorentz-polarization factor, no thermal factor.

The 12 most intense peaks (2θ = 10–80°), by angle:
12.3°, 7.201 Å, intensity 14
27.7°, 3.220 Å, intensity 18
30.4°, 2.940 Å, intensity 78
31.7°, 2.824 Å, intensity 76
32.9°, 2.722 Å, intensity 100
35.3°, 2.546 Å, intensity 22
36.4°, 2.470 Å, intensity 17
45.4°, 1.997 Å, intensity 12
52.4°, 1.746 Å, intensity 68
53.2°, 1.721 Å, intensity 14
54.0°, 1.697 Å, intensity 20
55.6°, 1.652 Å, intensity 45

Structure:
a b c (Å): 10.184 10.184 10.184
angles (deg): 90.00 90.00 90.00
Sites, in units of the cell vectors:
Ga 0.000 0.250 0.500
Ga 0.000 0.750 0.500
Ga 0.250 0.500 0.000
Ga 0.500 0.000 0.250
Ga 0.500 0.000 0.750
Ga 0.750 0.500 0.000
Si 0.000 0.308 0.117
Si 0.000 0.308 0.883
Si 0.000 0.500 0.250
Si 0.000 0.500 0.750
Si 0.000 0.692 0.117
Si 0.000 0.692 0.883
Si 0.117 0.000 0.308
Si 0.117 0.000 0.692
Si 0.184 0.184 0.184
Si 0.184 0.184 0.816
Si 0.184 0.816 0.184
Si 0.184 0.816 0.816
Si 0.192 0.500 0.383
Si 0.192 0.500 0.617
Si 0.250 0.000 0.500
Si 0.308 0.117 0.000
Si 0.308 0.883 0.000
Si 0.316 0.316 0.316
Si 0.316 0.316 0.684
Si 0.316 0.684 0.316
Si 0.316 0.684 0.684
Si 0.383 0.192 0.500
Si 0.383 0.808 0.500
Si 0.500 0.250 0.000
Si 0.500 0.383 0.192
Si 0.500 0.383 0.808
Si 0.500 0.617 0.192
Si 0.500 0.617 0.808
Si 0.500 0.750 0.000
Si 0.617 0.192 0.500
Si 0.617 0.808 0.500
Si 0.684 0.316 0.316
Si 0.684 0.316 0.684
Si 0.684 0.684 0.316
Si 0.684 0.684 0.684
Si 0.692 0.117 0.000
Si 0.692 0.883 0.000
Si 0.750 0.000 0.500
Si 0.808 0.500 0.383
Si 0.808 0.500 0.617
Si 0.816 0.184 0.184
Si 0.816 0.184 0.816
Si 0.816 0.816 0.184
Si 0.816 0.816 0.816
Si 0.883 0.000 0.308
Si 0.883 0.000 0.692


Record 3
GaSi: computed XRD peak list (Cu Ka), based on a cell relaxed with GGA-PBE.
Kinematic intensities with the Lorentz-polarization factor, no thermal factor.

The 12 most intense peaks (2θ = 10–80°), by angle:
31.0°, 2.888 Å, intensity 28
34.7°, 2.584 Å, intensity 100
34.9°, 2.569 Å, intensity 50
35.5°, 2.528 Å, intensity 39
36.4°, 2.466 Å, intensity 17
43.9°, 2.062 Å, intensity 15
44.7°, 2.028 Å, intensity 38
45.0°, 2.015 Å, intensity 17
51.3°, 1.782 Å, intensity 27
55.9°, 1.645 Å, intensity 18
63.9°, 1.456 Å, intensity 13
76.2°, 1.249 Å, intensity 11

Structure:
a b c (Å): 4.030 3.563 5.298
angles (deg): 90.00 111.43 90.00
Sites, in units of the cell vectors:
Ga 0.197 0.250 0.319
Ga 0.803 0.750 0.681
Si 0.341 0.250 0.845
Si 0.659 0.750 0.155


Record 4
Ga3Si: computed XRD peak list (Cu Ka), based on a cell relaxed with GGA-PBE.
Kinematic intensities with the Lorentz-polarization factor, no thermal factor.

The 12 most intense peaks (2θ = 10–80°), by angle:
30.6°, 2.920 Å, intensity 10
32.4°, 2.764 Å, intensity 25
34.6°, 2.589 Å, intensity 26
39.0°, 2.307 Å, intensity 28
39.5°, 2.281 Å, intensity 100
53.2°, 1.723 Å, intensity 15
53.5°, 1.712 Å, intensity 10
60.9°, 1.522 Å, intensity 7
65.4°, 1.428 Å, intensity 9
68.2°, 1.375 Å, intensity 10
71.0°, 1.327 Å, intensity 17
74.7°, 1.270 Å, intensity 8

Structure:
a b c (Å): 3.043 10.358 4.615
angles (deg): 90.00 90.00 90.00
Sites, in units of the cell vectors:
Ga 0.000 0.000 0.000
Ga 0.000 0.218 0.495
Ga 0.000 0.782 0.495
Ga 0.500 0.282 0.995
Ga 0.500 0.500 0.500
Ga 0.500 0.718 0.995
Si 0.000 0.500 0.001
Si 0.500 0.000 0.501


Record 5
Sm12GaSi5: computed XRD peak list (Cu Ka), based on a cell relaxed with GGA-PBE.
Kinematic intensities with the Lorentz-polarization factor, no thermal factor.

The 12 most intense peaks (2θ = 10–80°), by angle:
25.3°, 3.524 Å, intensity 26
27.6°, 3.237 Å, intensity 24
28.6°, 3.124 Å, intensity 28
29.1°, 3.065 Å, intensity 19
31.2°, 2.865 Å, intensity 100
33.3°, 2.691 Å, intensity 44
33.7°, 2.659 Å, intensity 33
34.2°, 2.624 Å, intensity 33
34.9°, 2.571 Å, intensity 15
37.2°, 2.419 Å, intensity 27
39.5°, 2.279 Å, intensity 15
58.2°, 1.585 Å, intensity 18

Structure:
a b c (Å): 8.605 8.605 8.605
angles (deg): 111.58 110.28 106.59
Sites, in units of the cell vectors:
Sm 0.043 0.241 0.802
Sm 0.179 0.267 0.446
Sm 0.179 0.733 0.911
Sm 0.323 0.031 0.708
Sm 0.323 0.616 0.292
Sm 0.439 0.241 0.198
Sm 0.561 0.759 0.802
Sm 0.677 0.384 0.708
Sm 0.677 0.969 0.292
Sm 0.821 0.267 0.089
Sm 0.821 0.733 0.554
Sm 0.957 0.759 0.198
Ga 0.500 0.500 0.000
Si 0.000 0.000 0.000
Si 0.115 0.615 0.500
Si 0.374 0.000 0.374
Si 0.626 0.000 0.626
Si 0.885 0.385 0.500


Record 6
Sm3Ga4Si4: computed XRD peak list (Cu Ka), based on a cell relaxed with GGA-PBE.
Kinematic intensities with the Lorentz-polarization factor, no thermal factor.

The 12 most intense peaks (2θ = 10–80°), by angle:
21.2°, 4.197 Å, intensity 18
23.9°, 3.723 Å, intensity 38
27.5°, 3.249 Å, intensity 32
30.2°, 2.962 Å, intensity 24
31.9°, 2.807 Å, intensity 33
32.4°, 2.764 Å, intensity 100
34.3°, 2.615 Å, intensity 26
34.7°, 2.588 Å, intensity 63
35.5°, 2.526 Å, intensity 23
43.9°, 2.062 Å, intensity 36
44.2°, 2.050 Å, intensity 46
64.5°, 1.444 Å, intensity 19

Structure:
a b c (Å): 4.123 4.200 13.166
angles (deg): 92.02 98.97 90.10
Sites, in units of the cell vectors:
Sm 0.000 0.000 0.000
Sm 0.363 0.972 0.725
Sm 0.637 0.028 0.275
Ga 0.093 0.484 0.186
Ga 0.251 0.195 0.501
Ga 0.749 0.805 0.499
Ga 0.907 0.516 0.814
Si 0.182 0.597 0.369
Si 0.455 0.464 0.910
Si 0.545 0.536 0.090
Si 0.818 0.403 0.631


Record 7
Sm7Ga2Si2: computed XRD peak list (Cu Ka), based on a cell relaxed with GGA-PBE.
Kinematic intensities with the Lorentz-polarization factor, no thermal factor.

The 12 most intense peaks (2θ = 10–80°), by angle:
24.1°, 3.698 Å, intensity 20
26.4°, 3.381 Å, intensity 32
28.0°, 3.184 Å, intensity 51
28.5°, 3.128 Å, intensity 100
32.5°, 2.753 Å, intensity 63
33.8°, 2.651 Å, intensity 20
36.4°, 2.465 Å, intensity 65
37.7°, 2.388 Å, intensity 81
47.9°, 1.901 Å, intensity 20
49.6°, 1.837 Å, intensity 18
55.6°, 1.653 Å, intensity 20
59.1°, 1.564 Å, intensity 19

Structure:
a b c (Å): 6.691 6.691 7.396
angles (deg): 90.00 90.00 110.77
Sites, in units of the cell vectors:
Sm 0.000 0.000 0.000
Sm 0.000 0.500 0.292
Sm 0.000 0.500 0.708
Sm 0.500 0.000 0.292
Sm 0.500 0.000 0.708
Sm 0.500 0.500 0.261
Sm 0.500 0.500 0.739
Ga 0.289 0.711 0.000
Ga 0.711 0.289 0.000
Si 0.162 0.162 0.500
Si 0.838 0.838 0.500


Record 8
Sm4GaSi2: computed XRD peak list (Cu Ka), based on a cell relaxed with GGA-PBE.
Kinematic intensities with the Lorentz-polarization factor, no thermal factor.

The 12 most intense peaks (2θ = 10–80°), by angle:
26.3°, 3.392 Å, intensity 100
30.1°, 2.966 Å, intensity 34
36.0°, 2.496 Å, intensity 10
37.1°, 2.422 Å, intensity 34
37.9°, 2.376 Å, intensity 66
46.7°, 1.946 Å, intensity 21
53.2°, 1.721 Å, intensity 20
54.1°, 1.696 Å, intensity 11
56.9°, 1.620 Å, intensity 11
61.6°, 1.506 Å, intensity 19
67.9°, 1.380 Å, intensity 12
68.4°, 1.372 Å, intensity 12

Structure:
a b c (Å): 10.353 10.353 10.353
angles (deg): 26.54 26.54 26.54
Sites, in units of the cell vectors:
Sm 0.120 0.120 0.120
Sm 0.296 0.296 0.296
Sm 0.704 0.704 0.704
Sm 0.880 0.880 0.880
Ga 0.500 0.500 0.500
Si 0.404 0.404 0.404
Si 0.596 0.596 0.596